Starting from a GGA-PBE-relaxed structure, the XRD peak list of CaCuH was calculated for Cu Kα X-rays.

Largest 6 diffraction maxima, by angle, 2θ = 10–90°:
hkl 0 0 1, 2θ 15.53, rel. 59.9; hkl 1 0 -1, 2θ 22.64, rel. 42.4; hkl 1 1 0, 2θ 31.29, rel. 96.3; hkl 1 0 -2, 2θ 31.80, rel. 57.2; hkl 0 1 2, 2θ 38.24, rel. 52.6; hkl 1 1 1, 2θ 38.60, rel. 100.0

Structure:
```
CaCuH
1.0
4.186 0.000 0.000
0.000 4.166 0.000
-2.078 0.000 5.705
Ca Cu H
2 2 2
direct
0.119 0.250 0.280
0.881 0.750 0.720
0.422 0.250 0.881
0.578 0.750 0.119
0.066 0.250 0.645
0.934 0.750 0.355
```